[1]
Diffraction record for Ir3Os2Rh. The powder diffractogram is computed, not measured: it uses a cell relaxed with PBE and Cu Kα.

a = 5.4524 Å, b = 3.8501 Å, c = 8.2367 Å
α = 90.00°, β = 90.11°, γ = 90.00°
Positions (direct):
Ir: 0.1244 0.2500 0.2458
Ir: 0.1265 0.2500 0.5806
Ir: 0.3735 0.7500 0.0839
Ir: 0.6265 0.2500 0.9161
Ir: 0.8735 0.7500 0.4194
Ir: 0.8756 0.7500 0.7542
Os: 0.1205 0.2500 0.9243
Os: 0.3792 0.7500 0.4215
Os: 0.6208 0.2500 0.5785
Os: 0.8795 0.7500 0.0757
Rh: 0.3751 0.7500 0.7455
Rh: 0.6249 0.2500 0.2545

The 12 most intense peaks (2θ from 10° to 80°), most intense first:
2θ = 40.3°, rel. 100.0; 2θ = 40.5°, rel. 99.3; 2θ = 47.0°, rel. 65.0; 2θ = 68.8°, rel. 42.1; 2θ = 47.2°, rel. 32.7; 2θ = 68.9°, rel. 10.6; 2θ = 68.3°, rel. 10.5; 2θ = 21.6°, rel. 2.6; 2θ = 19.5°, rel. 2.3; 2θ = 30.4°, rel. 1.6; 2θ = 46.4°, rel. 1.5; 2θ = 16.3°, rel. 1.4


[2]
Diffraction record for IrOs2Rh3. The powder diffractogram is computed, not measured: it uses a cell relaxed with PBE and Cu Kα.

a = 8.4572 Å, b = 8.4572 Å, c = 8.7658 Å
α = 120.93°, β = 120.93°, γ = 18.71°
Positions (direct):
Ir: 0.1112 0.1112 0.4909
Ir: 0.8888 0.8888 0.5091
Os: 0.2213 0.2213 0.8502
Os: 0.4442 0.4442 0.3220
Os: 0.5558 0.5558 0.6780
Os: 0.7787 0.7787 0.1498
Rh: 0.1105 0.1105 0.9804
Rh: 0.2222 0.2222 0.3423
Rh: 0.4436 0.4436 0.8153
Rh: 0.5564 0.5564 0.1847
Rh: 0.7778 0.7778 0.6577
Rh: 0.8895 0.8895 0.0196

The 12 most intense peaks (2θ from 10° to 80°), most intense first:
2θ = 43.3°, rel. 100.0; 2θ = 43.2°, rel. 66.3; 2θ = 41.2°, rel. 50.5; 2θ = 37.8°, rel. 48.5; 2θ = 11.9°, rel. 38.0; 2θ = 43.4°, rel. 32.6; 2θ = 68.4°, rel. 22.8; 2θ = 57.1°, rel. 14.8; 2θ = 76.6°, rel. 12.3; 2θ = 76.4°, rel. 12.0; 2θ = 68.2°, rel. 11.5; 2θ = 57.2°, rel. 9.3


[3]
Diffraction record for Ir11Os9Ru4. The powder diffractogram is computed, not measured: it uses a cell relaxed with PBE and Cu Kα.

a = 11.9047 Å, b = 11.9047 Å, c = 2.7322 Å
α = 90.00°, β = 90.00°, γ = 115.52°
Positions (direct):
Ir: 0.0000 0.0000 0.0000
Ir: 0.0272 0.4015 0.0000
Ir: 0.1926 0.8074 0.0000
Ir: 0.2079 0.2079 0.0000
Ir: 0.3838 0.6162 0.0000
Ir: 0.4015 0.0272 0.0000
Ir: 0.5985 0.9728 0.0000
Ir: 0.6162 0.3838 0.0000
Ir: 0.7921 0.7921 0.0000
Ir: 0.8074 0.1926 0.0000
Ir: 0.9728 0.5985 0.0000
Os: 0.0111 0.2030 0.5000
Os: 0.1802 0.6055 0.5000
Os: 0.2030 0.0111 0.5000
Os: 0.3945 0.8198 0.5000
Os: 0.5000 0.5000 0.5000
Os: 0.6055 0.1802 0.5000
Os: 0.7970 0.9889 0.5000
Os: 0.8198 0.3945 0.5000
Os: 0.9889 0.7970 0.5000
Ru: 0.2379 0.4117 0.5000
Ru: 0.4117 0.2379 0.5000
Ru: 0.5883 0.7621 0.5000
Ru: 0.7621 0.5883 0.5000

The 12 most intense peaks (2θ from 10° to 80°), most intense first:
2θ = 40.5°, rel. 100.0; 2θ = 42.1°, rel. 98.2; 2θ = 43.7°, rel. 68.9; 2θ = 45.0°, rel. 49.0; 2θ = 42.7°, rel. 41.4; 2θ = 39.0°, rel. 35.4; 2θ = 72.4°, rel. 34.0; 2θ = 49.2°, rel. 26.4; 2θ = 64.5°, rel. 25.4; 2θ = 68.7°, rel. 17.9; 2θ = 37.8°, rel. 15.5; 2θ = 40.1°, rel. 11.2


[4]
Diffraction record for Ir4Os2Ru3. The powder diffractogram is computed, not measured: it uses a cell relaxed with PBE and Cu Kα.

a = 4.7620 Å, b = 7.0089 Å, c = 8.4720 Å
α = 71.70°, β = 73.73°, γ = 89.94°
Positions (direct):
Ir: 0.0021 0.0870 0.3292
Ir: 0.1132 0.8598 0.1105
Ir: 0.3323 0.4150 0.6697
Ir: 0.4442 0.1950 0.4443
Ir: 0.5558 0.8050 0.5557
Ir: 0.6677 0.5850 0.3303
Ir: 0.8868 0.1402 0.8895
Ir: 0.9979 0.9130 0.6708
Os: 0.2245 0.4729 0.2216
Os: 0.3361 0.2510 0.9993
Os: 0.6639 0.7490 0.0007
Os: 0.7755 0.5271 0.7784
Ru: 0.1096 0.6921 0.4473
Ru: 0.2223 0.6351 0.8923
Ru: 0.4450 0.0258 0.7785
Ru: 0.5550 0.9742 0.2215
Ru: 0.7777 0.3649 0.1077
Ru: 0.8904 0.3079 0.5527

The 12 most intense peaks (2θ from 10° to 80°), most intense first:
2θ = 43.3°, rel. 100.0; 2θ = 41.4°, rel. 30.2; 2θ = 37.8°, rel. 29.2; 2θ = 43.4°, rel. 19.9; 2θ = 68.3°, rel. 13.9; 2θ = 76.8°, rel. 11.2; 2θ = 76.9°, rel. 11.1; 2θ = 57.3°, rel. 8.8; 2θ = 57.3°, rel. 8.8; 2θ = 68.4°, rel. 6.9; 2θ = 22.6°, rel. 6.4; 2θ = 25.6°, rel. 4.9


[5]
Diffraction record for IrOsRu. The powder diffractogram is computed, not measured: it uses a cell relaxed with PBE and Cu Kα.

a = 4.7083 Å, b = 8.1711 Å, c = 4.7043 Å
α = 90.00°, β = 109.23°, γ = 90.00°
Positions (direct):
Ir: 0.0000 0.0848 0.2500
Ir: 0.0000 0.9152 0.7500
Ir: 0.5000 0.4152 0.7500
Ir: 0.5000 0.5848 0.2500
Os: 0.0000 0.4183 0.2500
Os: 0.0000 0.5817 0.7500
Os: 0.5000 0.0817 0.7500
Os: 0.5000 0.9183 0.2500
Ru: 0.0000 0.2514 0.7500
Ru: 0.0000 0.7486 0.2500
Ru: 0.5000 0.2486 0.2500
Ru: 0.5000 0.7514 0.7500

The 12 most intense peaks (2θ from 10° to 80°), most intense first:
2θ = 40.6°, rel. 100.0; 2θ = 47.2°, rel. 32.6; 2θ = 69.1°, rel. 21.0; 2θ = 47.4°, rel. 16.1; 2θ = 68.9°, rel. 10.5; 2θ = 25.6°, rel. 4.9; 2θ = 21.8°, rel. 3.7; 2θ = 34.7°, rel. 2.4; 2θ = 46.5°, rel. 2.2; 2θ = 61.7°, rel. 1.5; 2θ = 60.1°, rel. 1.1; 2θ = 52.7°, rel. 0.8


[6]
Diffraction record for Ir8Os2Ru. The powder diffractogram is computed, not measured: it uses a cell relaxed with PBE and Cu Kα.

a = 7.1607 Å, b = 7.1607 Å, c = 7.1607 Å
α = 149.01°, β = 115.88°, γ = 72.92°
Positions (direct):
Ir: 0.0932 0.3376 0.7555
Ir: 0.1714 0.1714 0.0000
Ir: 0.2560 0.0000 0.2560
Ir: 0.4179 0.6624 0.7555
Ir: 0.5821 0.3376 0.2445
Ir: 0.7440 0.0000 0.7440
Ir: 0.8286 0.8286 0.0000
Ir: 0.9068 0.6624 0.2445
Os: 0.3308 0.8308 0.5000
Os: 0.6692 0.1692 0.5000
Ru: 0.0000 0.5000 0.5000

The 12 most intense peaks (2θ from 10° to 80°), most intense first:
2θ = 40.9°, rel. 100.0; 2θ = 47.5°, rel. 16.4; 2θ = 47.4°, rel. 16.3; 2θ = 47.9°, rel. 15.9; 2θ = 69.3°, rel. 10.5; 2θ = 69.7°, rel. 10.4; 2θ = 69.6°, rel. 10.3; 2θ = 15.4°, rel. 4.8; 2θ = 28.1°, rel. 3.8; 2θ = 34.1°, rel. 3.1; 2θ = 24.5°, rel. 2.7; 2θ = 23.4°, rel. 2.0


Question: Number 4 is which compound?
Answer: Ir4Os2Ru3